[1]
The following is a simulated powder X-ray diffraction pattern of BaAc4Sm. It was derived from DFT lattice parameters and positions (PBE), using CuKα.
Intensities are scaled so that the largest is 100.

```
data_BaAc4Sm
_chemical_formula_sum 'Ba1 Ac4 Sm1'
_space_group_name_H-M_alt 'P 4/m m m'
_space_group_IT_number 123
_space_group_name_Hall '-P 4 2'
_cell_length_a 3.9971
_cell_length_b 3.9971
_cell_length_c 16.9248
_cell_angle_alpha 90.00
_cell_angle_beta 90.00
_cell_angle_gamma 90.00
loop_
_atom_site_label
_atom_site_type_symbol
_atom_site_fract_x
_atom_site_fract_y
_atom_site_fract_z
Ba1 Ba 0.0000 0.0000 0.0000
Ac1 Ac 0.0000 0.0000 0.3511
Ac2 Ac 0.5000 0.5000 0.1900
Sm1 Sm 0.5000 0.5000 0.5000
```

The 10 most intense peaks (5 to 70 degrees two-theta), in order of falling intensity:
2θ 27.3, d 3.261, rel. 100.0, hkl 1 0 3; 2θ 31.7, d 2.825, rel. 50.5, hkl 1 1 0; 2θ 53.8, d 1.704, rel. 36.8, hkl 2 1 3; 2θ 45.4, d 1.997, rel. 32.2, hkl 2 0 0; 2θ 30.8, d 2.906, rel. 10.3, hkl 1 0 4; 2θ 5.2, d 16.925, rel. 10.0, hkl 0 0 1; 2θ 56.4, d 1.631, rel. 9.4, hkl 2 0 6; 2θ 49.6, d 1.837, rel. 7.3, hkl 1 1 7; 2θ 59.3, d 1.559, rel. 6.6, hkl 1 0 10; 2θ 48.7, d 1.870, rel. 5.9, hkl 1 0 8

[2]
The following is a simulated powder X-ray diffraction pattern of Ba3AcSn2. It was derived from DFT lattice parameters and positions (PBE), using CuKα.
Intensities are scaled so that the largest is 100.

```
data_Ba3AcSn2
_chemical_formula_sum 'Ba12 Ac4 Sn8'
_space_group_name_H-M_alt 'I b a m'
_space_group_IT_number 72
_space_group_name_Hall '-I 2 2c'
_cell_length_a 7.7183
_cell_length_b 18.2348
_cell_length_c 7.5677
_cell_angle_alpha 90.00
_cell_angle_beta 90.00
_cell_angle_gamma 90.00
loop_
_atom_site_label
_atom_site_type_symbol
_atom_site_fract_x
_atom_site_fract_y
_atom_site_fract_z
Ba1 Ba 0.0000 0.0000 0.2500
Ba2 Ba 0.2454 0.3166 0.0000
Ac1 Ac 0.0000 0.5000 0.2500
Sn1 Sn 0.2351 0.3758 0.5000
```

The 10 most intense peaks (5 to 70 degrees two-theta), in order of falling intensity:
2θ 25.5, d 3.491, rel. 100.0, hkl 0 2 2; 2θ 33.2, d 2.702, rel. 88.7, hkl 2 0 2; 2θ 25.1, d 3.554, rel. 68.8, hkl 2 2 0; 2θ 30.3, d 2.945, rel. 58.5, hkl 2 4 0; 2θ 30.7, d 2.912, rel. 57.5, hkl 0 4 2; 2θ 33.8, d 2.649, rel. 36.5, hkl 1 6 1; 2θ 44.9, d 2.019, rel. 32.5, hkl 2 6 2; 2θ 9.7, d 9.117, rel. 31.6, hkl 0 2 0; 2θ 57.3, d 1.608, rel. 27.0, hkl 4 4 2; 2θ 29.4, d 3.039, rel. 25.9, hkl 0 6 0

[3]
The following is a simulated powder X-ray diffraction pattern of Ba5Ac2Sn4. It was derived from DFT lattice parameters and positions (PBE), using CuKα.
Intensities are scaled so that the largest is 100.

```
data_Ba5Ac2Sn4
_chemical_formula_sum 'Ba10 Ac4 Sn8'
_space_group_name_H-M_alt 'I m m m'
_space_group_IT_number 71
_space_group_name_Hall '-I 2 2'
_cell_length_a 4.0921
_cell_length_b 8.6167
_cell_length_c 35.4753
_cell_angle_alpha 90.00
_cell_angle_beta 90.00
_cell_angle_gamma 90.00
loop_
_atom_site_label
_atom_site_type_symbol
_atom_site_fract_x
_atom_site_fract_y
_atom_site_fract_z
Ba1 Ba 0.0000 0.0000 0.0000
Ba2 Ba 0.0000 0.2651 0.3102
Ac1 Ac 0.0000 0.5000 0.4174
Sn1 Sn 0.0000 0.1695 0.5000
Sn2 Sn 0.0000 0.5000 0.2313
```

The 10 most intense peaks (5 to 70 degrees two-theta), in order of falling intensity:
2θ 32.7, d 2.737, rel. 100.0, hkl 1 2 5; 2θ 10.6, d 8.373, rel. 62.2, hkl 0 1 1; 2θ 28.5, d 3.134, rel. 61.6, hkl 1 1 6; 2θ 25.6, d 3.482, rel. 51.7, hkl 0 2 6; 2θ 10.0, d 8.869, rel. 41.0, hkl 0 0 4; 2θ 21.9, d 4.065, rel. 36.0, hkl 1 0 1; 2θ 35.4, d 2.533, rel. 34.8, hkl 1 0 11; 2θ 16.2, d 5.477, rel. 32.9, hkl 0 1 5; 2θ 25.1, d 3.547, rel. 25.3, hkl 0 0 10; 2θ 44.3, d 2.047, rel. 22.9, hkl 2 0 0

[4]
The following is a simulated powder X-ray diffraction pattern of BaAc4Sn2. It was derived from DFT lattice parameters and positions (PBE), using CuKα.
Intensities are scaled so that the largest is 100.

```
data_BaAc4Sn2
_chemical_formula_sum 'Ba4 Ac16 Sn8'
_space_group_name_H-M_alt 'I -4 2 d'
_space_group_IT_number 122
_space_group_name_Hall 'I -4 2bw'
_cell_length_a 10.2912
_cell_length_b 10.2912
_cell_length_c 10.5960
_cell_angle_alpha 90.00
_cell_angle_beta 90.00
_cell_angle_gamma 90.00
loop_
_atom_site_label
_atom_site_type_symbol
_atom_site_fract_x
_atom_site_fract_y
_atom_site_fract_z
Ba1 Ba 0.0000 0.0000 0.0000
Ac1 Ac 0.0821 0.6605 0.9249
Sn1 Sn 0.1496 0.7500 0.6250
```

The 10 most intense peaks (5 to 70 degrees two-theta), in order of falling intensity:
2θ 27.4, d 3.260, rel. 100.0, hkl 3 0 1; 2θ 26.7, d 3.341, rel. 63.6, hkl 1 0 3; 2θ 32.5, d 2.756, rel. 60.3, hkl 3 2 1; 2θ 32.3, d 2.773, rel. 56.3, hkl 3 1 2; 2θ 42.2, d 2.142, rel. 22.1, hkl 2 2 4; 2θ 56.4, d 1.632, rel. 18.9, hkl 6 0 2; 2θ 44.1, d 2.054, rel. 17.6, hkl 3 1 4; 2θ 21.0, d 4.221, rel. 17.0, hkl 2 1 1; 2θ 44.9, d 2.020, rel. 15.1, hkl 4 3 1; 2θ 31.9, d 2.802, rel. 14.7, hkl 2 1 3

[5]
The following is a simulated powder X-ray diffraction pattern of Ba3Sr12Ac. It was derived from DFT lattice parameters and positions (PBE), using CuKα.
Intensities are scaled so that the largest is 100.

```
data_Ba3Sr12Ac
_chemical_formula_sum 'Ba3 Sr12 Ac1'
_space_group_name_H-M_alt 'P 4/m m m'
_space_group_IT_number 123
_space_group_name_Hall '-P 4 2'
_cell_length_a 6.6969
_cell_length_b 6.6969
_cell_length_c 19.3420
_cell_angle_alpha 90.00
_cell_angle_beta 90.00
_cell_angle_gamma 90.00
loop_
_atom_site_label
_atom_site_type_symbol
_atom_site_fract_x
_atom_site_fract_y
_atom_site_fract_z
Ba1 Ba 0.0000 0.0000 0.0000
Ba2 Ba 0.0000 0.0000 0.2574
Sr1 Sr 0.0000 0.5000 0.1271
Sr2 Sr 0.0000 0.5000 0.3827
Sr3 Sr 0.5000 0.5000 0.0000
Sr4 Sr 0.5000 0.5000 0.2545
Sr5 Sr 0.5000 0.5000 0.5000
Ac1 Ac 0.0000 0.0000 0.5000
```

The 10 most intense peaks (5 to 70 degrees two-theta), in order of falling intensity:
2θ 26.3, d 3.383, rel. 100.0, hkl 1 1 4; 2θ 26.6, d 3.348, rel. 50.0, hkl 2 0 0; 2θ 46.8, d 1.940, rel. 41.4, hkl 3 1 4; 2θ 46.3, d 1.960, rel. 20.6, hkl 2 0 8; 2θ 38.0, d 2.368, rel. 19.6, hkl 2 2 0; 2θ 54.2, d 1.692, rel. 12.8, hkl 2 2 8; 2θ 37.2, d 2.418, rel. 9.6, hkl 0 0 8; 2θ 62.0, d 1.497, rel. 9.4, hkl 4 2 0; 2θ 61.8, d 1.501, rel. 9.0, hkl 3 3 4; 2θ 60.7, d 1.526, rel. 8.4, hkl 1 1 12

[6]
The following is a simulated powder X-ray diffraction pattern of BaSr14Ac. It was derived from DFT lattice parameters and positions (PBE), using CuKα.
Intensities are scaled so that the largest is 100.

```
data_BaSr14Ac
_chemical_formula_sum 'Ba2 Sr28 Ac2'
_space_group_name_H-M_alt 'A m m 2'
_space_group_IT_number 38
_space_group_name_Hall 'A 2 -2'
_cell_length_a 12.0089
_cell_length_b 12.0063
_cell_length_c 12.0133
_cell_angle_alpha 90.00
_cell_angle_beta 90.00
_cell_angle_gamma 90.00
loop_
_atom_site_label
_atom_site_type_symbol
_atom_site_fract_x
_atom_site_fract_y
_atom_site_fract_z
Ba1 Ba 0.0000 0.0000 0.0000
Sr1 Sr 0.0000 0.2498 0.2503
Sr2 Sr 0.2495 0.0000 0.2537
Sr3 Sr 0.2498 0.0000 0.7469
Sr4 Sr 0.2497 0.2468 0.5003
Sr5 Sr 0.5000 0.0000 0.0000
Sr6 Sr 0.5000 0.0000 0.5006
Sr7 Sr 0.5000 0.2496 0.2503
Ac1 Ac 0.0000 0.0000 0.5007
```

The 10 most intense peaks (5 to 70 degrees two-theta), in order of falling intensity:
2θ 25.7, d 3.467, rel. 100.0, hkl 2 2 2; 2θ 29.8, d 3.002, rel. 51.6, hkl 4 0 0; 2θ 50.4, d 1.811, rel. 46.9, hkl 6 2 2; 2θ 42.6, d 2.123, rel. 38.5, hkl 4 4 0; 2θ 68.1, d 1.378, rel. 19.1, hkl 6 6 2; 2θ 52.8, d 1.733, rel. 13.6, hkl 4 4 4; 2θ 61.8, d 1.501, rel. 6.3, hkl 8 0 0; 2θ 7.4, d 12.009, rel. 4.5, hkl 1 0 0; 2θ 16.5, d 5.371, rel. 3.3, hkl 1 2 0; 2θ 14.8, d 6.005, rel. 3.1, hkl 0 2 0

[7]
The following is a simulated powder X-ray diffraction pattern of Ba2Sr8Ac. It was derived from DFT lattice parameters and positions (PBE), using CuKα.
Intensities are scaled so that the largest is 100.

```
data_Ba2Sr8Ac
_chemical_formula_sum 'Ba2 Sr8 Ac1'
_space_group_name_H-M_alt 'P 4/m m m'
_space_group_IT_number 123
_space_group_name_Hall '-P 4 2'
_cell_length_a 6.7400
_cell_length_b 6.7400
_cell_length_c 14.0169
_cell_angle_alpha 90.00
_cell_angle_beta 90.00
_cell_angle_gamma 90.00
loop_
_atom_site_label
_atom_site_type_symbol
_atom_site_fract_x
_atom_site_fract_y
_atom_site_fract_z
Ba1 Ba 0.0000 0.0000 0.1800
Sr1 Sr 0.0000 0.5000 0.0000
Sr2 Sr 0.0000 0.5000 0.3515
Sr3 Sr 0.5000 0.5000 0.1670
Ac1 Ac 0.0000 0.0000 0.5000
```

The 10 most intense peaks (5 to 70 degrees two-theta), in order of falling intensity:
2θ 26.7, d 3.336, rel. 100.0, hkl 1 1 3; 2θ 26.4, d 3.370, rel. 53.9, hkl 2 0 0; 2θ 46.9, d 1.939, rel. 43.0, hkl 3 1 3; 2θ 37.8, d 2.383, rel. 21.0, hkl 2 2 0; 2θ 47.3, d 1.920, rel. 19.6, hkl 2 0 6; 2θ 13.1, d 6.740, rel. 17.6, hkl 1 0 0; 2θ 55.1, d 1.668, rel. 13.6, hkl 2 2 6; 2θ 14.6, d 6.074, rel. 11.4, hkl 1 0 1; 2θ 61.5, d 1.507, rel. 10.0, hkl 4 2 0; 2θ 61.7, d 1.504, rel. 9.5, hkl 3 3 3

[8]
The following is a simulated powder X-ray diffraction pattern of Ba3Sr3Ac. It was derived from DFT lattice parameters and positions (PBE), using CuKα.
Intensities are scaled so that the largest is 100.

```
data_Ba3Sr3Ac
_chemical_formula_sum 'Ba6 Sr6 Ac2'
_space_group_name_H-M_alt 'P 1 21/m 1'
_space_group_IT_number 11
_space_group_name_Hall '-P 2yb'
_cell_length_a 6.7782
_cell_length_b 6.7489
_cell_length_c 17.2843
_cell_angle_alpha 90.00
_cell_angle_beta 101.30
_cell_angle_gamma 90.00
loop_
_atom_site_label
_atom_site_type_symbol
_atom_site_fract_x
_atom_site_fract_y
_atom_site_fract_z
Ba1 Ba 0.0345 0.2500 0.0691
Ba2 Ba 0.3224 0.2500 0.6467
Ba3 Ba 0.3969 0.7500 0.7938
Sr1 Sr 0.1057 0.7500 0.2099
Sr2 Sr 0.1780 0.2500 0.3568
Sr3 Sr 0.2506 0.7500 0.4996
Ac1 Ac 0.4669 0.2500 0.9346
```

The 10 most intense peaks (5 to 70 degrees two-theta), in order of falling intensity:
2θ 26.2, d 3.403, rel. 100.0, hkl 1 1 3; 2θ 26.3, d 3.389, rel. 25.0, hkl 2 0 -1; 2θ 26.4, d 3.374, rel. 24.8, hkl 0 2 0; 2θ 5.2, d 16.949, rel. 24.7, hkl 0 0 1; 2θ 46.3, d 1.959, rel. 21.2, hkl 3 1 2; 2θ 46.5, d 1.954, rel. 21.0, hkl 1 3 3; 2θ 37.6, d 2.391, rel. 19.5, hkl 2 2 -1; 2θ 61.2, d 1.514, rel. 14.1, hkl 4 2 -2; 2θ 53.9, d 1.701, rel. 13.1, hkl 2 2 6; 2θ 46.1, d 1.970, rel. 10.6, hkl 2 0 6

[9]
The following is a simulated powder X-ray diffraction pattern of Ba6Sr5Ac. It was derived from DFT lattice parameters and positions (PBE), using CuKα.
Intensities are scaled so that the largest is 100.

```
data_Ba6Sr5Ac
_chemical_formula_sum 'Ba12 Sr10 Ac2'
_space_group_name_H-M_alt 'I m m m'
_space_group_IT_number 71
_space_group_name_Hall '-I 2 2'
_cell_length_a 6.8482
_cell_length_b 9.7529
_cell_length_c 20.5370
_cell_angle_alpha 90.00
_cell_angle_beta 90.00
_cell_angle_gamma 90.00
loop_
_atom_site_label
_atom_site_type_symbol
_atom_site_fract_x
_atom_site_fract_y
_atom_site_fract_z
Ba1 Ba 0.0000 0.2401 0.0000
Ba2 Ba 0.0000 0.2547 0.3366
Sr1 Sr 0.0000 0.0000 0.1678
Sr2 Sr 0.0000 0.0000 0.5000
Sr3 Sr 0.0000 0.5000 0.1665
Ac1 Ac 0.0000 0.5000 0.5000
```

The 10 most intense peaks (5 to 70 degrees two-theta), in order of falling intensity:
2θ 26.0, d 3.432, rel. 100.0, hkl 2 0 0; 2θ 45.9, d 1.979, rel. 28.2, hkl 3 2 3; 2θ 45.7, d 1.986, rel. 14.1, hkl 2 4 0; 2θ 37.1, d 2.421, rel. 13.0, hkl 2 0 6; 2θ 60.4, d 1.532, rel. 12.4, hkl 4 0 6; 2θ 53.3, d 1.718, rel. 8.9, hkl 2 4 6; 2θ 36.9, d 2.438, rel. 6.5, hkl 0 4 0; 2θ 60.0, d 1.541, rel. 6.4, hkl 1 6 3; 2θ 66.8, d 1.401, rel. 4.5, hkl 4 4 0; 2θ 53.5, d 1.712, rel. 4.5, hkl 4 0 0

[10]
The following is a simulated powder X-ray diffraction pattern of BaAc6Te8. It was derived from DFT lattice parameters and positions (PBE), using CuKα.
Intensities are scaled so that the largest is 100.

```
data_BaAc6Te8
_chemical_formula_sum 'Ba4 Ac24 Te32'
_space_group_name_H-M_alt 'F m -3 m'
_space_group_IT_number 225
_space_group_name_Hall '-F 4 2 3'
_cell_length_a 13.3982
_cell_length_b 13.3982
_cell_length_c 13.3982
_cell_angle_alpha 90.00
_cell_angle_beta 90.00
_cell_angle_gamma 90.00
loop_
_atom_site_label
_atom_site_type_symbol
_atom_site_fract_x
_atom_site_fract_y
_atom_site_fract_z
Ba1 Ba 0.0000 0.0000 0.0000
Ac1 Ac 0.0000 0.2500 0.2500
Te1 Te 0.0000 0.0000 0.2592
Te2 Te 0.2500 0.2500 0.2500
```

The 10 most intense peaks (5 to 70 degrees two-theta), in order of falling intensity:
2θ 26.6, d 3.350, rel. 100.0, hkl 4 0 0; 2θ 38.0, d 2.368, rel. 78.3, hkl 4 4 0; 2θ 61.9, d 1.498, rel. 37.3, hkl 8 4 0; 2θ 47.0, d 1.934, rel. 28.5, hkl 4 4 4; 2θ 68.6, d 1.367, rel. 27.4, hkl 8 4 4; 2θ 54.8, d 1.675, rel. 13.5, hkl 8 0 0; 2θ 13.2, d 6.699, rel. 7.6, hkl 2 0 0; 2θ 18.7, d 4.737, rel. 7.0, hkl 2 2 0; 2θ 23.0, d 3.868, rel. 6.5, hkl 2 2 2; 2θ 29.8, d 2.996, rel. 4.9, hkl 4 2 0

[11]
The following is a simulated powder X-ray diffraction pattern of BaAcTe4. It was derived from DFT lattice parameters and positions (PBE), using CuKα.
Intensities are scaled so that the largest is 100.

```
data_BaAcTe4
_chemical_formula_sum 'Ba2 Ac2 Te8'
_space_group_name_H-M_alt 'P 4/n b m'
_space_group_IT_number 125
_cell_length_a 7.2122
_cell_length_b 7.2122
_cell_length_c 8.7802
_cell_angle_alpha 90.00
_cell_angle_beta 90.00
_cell_angle_gamma 90.00
loop_
_space_group_symop_operation_xyz
'x,y,z'
'-x,-y,-z'
'-y+1/2,x,z'
'y+1/2,-x,-z'
'-x+1/2,-y+1/2,z'
'x+1/2,y+1/2,-z'
'y,-x+1/2,z'
'-y,x+1/2,-z'
'x,-y+1/2,-z'
'-x,y+1/2,z'
'-y+1/2,-x+1/2,-z'
'y+1/2,x+1/2,z'
'-x+1/2,y,-z'
'x+1/2,-y,z'
'y,x,-z'
'-y,-x,z'
loop_
_atom_site_label
_atom_site_type_symbol
_atom_site_fract_x
_atom_site_fract_y
_atom_site_fract_z
Ba1 Ba 0.2500 0.2500 0.0000
Ac1 Ac 0.2500 0.2500 0.5000
Te1 Te 0.1024 0.6024 0.2663
```

The 10 most intense peaks (5 to 70 degrees two-theta), in order of falling intensity:
2θ 26.8, d 3.327, rel. 100.0, hkl 1 1 2; 2θ 29.5, d 3.028, rel. 79.9, hkl 2 1 1; 2θ 32.1, d 2.787, rel. 52.8, hkl 2 0 2; 2θ 39.5, d 2.281, rel. 50.2, hkl 3 1 0; 2θ 58.3, d 1.582, rel. 29.9, hkl 3 1 4; 2θ 41.7, d 2.167, rel. 28.5, hkl 2 1 3; 2θ 55.1, d 1.668, rel. 28.0, hkl 4 0 2; 2θ 58.2, d 1.585, rel. 25.5, hkl 3 3 2; 2θ 41.1, d 2.195, rel. 18.4, hkl 0 0 4; 2θ 10.1, d 8.780, rel. 14.7, hkl 0 0 1

[12]
The following is a simulated powder X-ray diffraction pattern of Ba2AcTe3. It was derived from DFT lattice parameters and positions (PBE), using CuKα.
Intensities are scaled so that the largest is 100.

```
data_Ba2AcTe3
_chemical_formula_sum 'Ba4 Ac2 Te6'
_space_group_name_H-M_alt 'I m m m'
_space_group_IT_number 71
_space_group_name_Hall '-I 2 2'
_cell_length_a 4.8807
_cell_length_b 6.9162
_cell_length_c 14.7276
_cell_angle_alpha 90.00
_cell_angle_beta 90.00
_cell_angle_gamma 90.00
loop_
_atom_site_label
_atom_site_type_symbol
_atom_site_fract_x
_atom_site_fract_y
_atom_site_fract_z
Ba1 Ba 0.0000 0.0000 0.1693
Ac1 Ac 0.0000 0.0000 0.5000
Te1 Te 0.0000 0.5000 0.1575
Te2 Te 0.0000 0.5000 0.5000
```

The 10 most intense peaks (5 to 70 degrees two-theta), in order of falling intensity:
2θ 25.7, d 3.460, rel. 100.0, hkl 0 2 0; 2θ 36.8, d 2.445, rel. 65.4, hkl 2 0 0; 2θ 59.8, d 1.547, rel. 25.1, hkl 1 4 3; 2θ 45.5, d 1.994, rel. 14.4, hkl 2 2 0; 2θ 45.3, d 2.002, rel. 14.2, hkl 0 2 6; 2θ 66.3, d 1.410, rel. 14.0, hkl 2 4 0; 2θ 52.9, d 1.730, rel. 13.5, hkl 0 4 0; 2θ 36.6, d 2.455, rel. 12.8, hkl 0 0 6; 2θ 66.0, d 1.416, rel. 8.8, hkl 1 2 9; 2θ 59.9, d 1.544, rel. 6.3, hkl 3 0 3